[1]
Diffraction record for Ba4Ti11O26. The powder XRD pattern is simulated, not measured: it uses a cell relaxed with PBE and a wavelength of 1.5418 Å.
Peak positions follow from Bragg's law for the DFT cell and can differ from measured ones.

Cell and atoms:
Cell lengths 7.858, 7.920, 10.046 Å; angles 76.16, 67.00, 75.70 degrees
Space group P1 (No. 1)
Unique sites:
Ba 0.000 0.000 0.000 [1 per cell]
Ba 0.208 0.207 0.466 [1 per cell]
Ba 0.490 0.992 0.998 [1 per cell]
Ba 0.712 0.210 0.457 [1 per cell]
Ti 0.100 0.358 0.135 [1 per cell]
Ti 0.114 0.874 0.320 [1 per cell]
Ti 0.235 0.460 0.802 [1 per cell]
Ti 0.364 0.590 0.465 [1 per cell]
Ti 0.456 0.780 0.685 [1 per cell]
Ti 0.574 0.365 0.129 [1 per cell]
Ti 0.610 0.881 0.329 [1 per cell]
Ti 0.722 0.459 0.800 [1 per cell]
Ti 0.835 0.621 0.012 [1 per cell]
Ti 0.861 0.592 0.465 [1 per cell]
Ti 0.961 0.777 0.676 [1 per cell]
O 0.075 0.122 0.246 [1 per cell]
O 0.093 0.580 0.993 [1 per cell]
O 0.095 0.641 0.477 [1 per cell]
O 0.214 0.260 0.942 [1 per cell]
O 0.215 0.806 0.152 [1 per cell]
O 0.231 0.714 0.666 [1 per cell]
O 0.333 0.383 0.617 [1 per cell]
O 0.336 0.341 0.145 [1 per cell]
O 0.354 0.907 0.823 [1 per cell]
O 0.359 0.842 0.352 [1 per cell]
O 0.463 0.453 0.322 [1 per cell]
O 0.470 0.516 0.789 [1 per cell]
O 0.492 0.963 0.521 [1 per cell]
O 0.602 0.625 0.469 [1 per cell]
O 0.610 0.110 0.235 [1 per cell]
O 0.610 0.579 0.994 [1 per cell]
O 0.702 0.259 0.940 [1 per cell]
O 0.726 0.774 0.149 [1 per cell]
O 0.732 0.714 0.667 [1 per cell]
O 0.830 0.385 0.131 [1 per cell]
O 0.845 0.381 0.618 [1 per cell]
O 0.854 0.838 0.354 [1 per cell]
O 0.854 0.848 0.856 [1 per cell]
O 0.961 0.514 0.807 [1 per cell]
O 0.975 0.458 0.321 [1 per cell]
O 0.975 0.977 0.546 [1 per cell]

Principal peaks in the range 2θ = 10–80°, by intensity:
2θ 29.50, 3.028 Å, rel. 100, hkl 2 -1 0; 2θ 28.79, 3.101 Å, rel. 91, hkl 2 2 1; 2θ 43.66, 2.073 Å, rel. 80, hkl 0 3 -2; 2θ 29.97, 2.981 Å, rel. 74, hkl 2 0 -1; 2θ 31.21, 2.866 Å, rel. 68, hkl 2 0 3; 2θ 46.21, 1.965 Å, rel. 67, hkl 4 1 2

***

[2]
Diffraction record for Ba4Ti3O10. The powder XRD pattern is simulated, not measured: it uses a cell relaxed with PBE and a wavelength of 1.5418 Å.
Peak positions follow from Bragg's law for the DFT cell and can differ from measured ones.

Cell and atoms:
Cell lengths 5.780, 29.377, 5.806 Å; angles 90.00, 90.00, 90.00 degrees
Space group Fmm2 (No. 42)
Unique sites:
Ba 0.000 0.068 0.000 [8 per cell]
Ba 0.000 0.201 0.002 [8 per cell]
Ti 0.000 0.000 0.484 [4 per cell]
Ti 0.000 0.137 0.485 [8 per cell]
O 0.000 0.068 0.516 [8 per cell]
O 0.000 0.204 0.518 [8 per cell]
O 0.242 0.000 0.271 [8 per cell]
O 0.242 0.137 0.268 [16 per cell]

Principal peaks in the range 2θ = 10–80°, by intensity:
2θ 30.49, 2.931 Å, rel. 100, hkl 1 7 1; 2θ 44.22, 2.048 Å, rel. 37, hkl 2 0 2; 2θ 30.80, 2.903 Å, rel. 31, hkl 0 0 2; 2θ 30.94, 2.890 Å, rel. 31, hkl 2 0 0; 2θ 54.58, 1.681 Å, rel. 20, hkl 1 7 3; 2θ 21.91, 4.057 Å, rel. 19, hkl 1 1 1

***

[3]
Diffraction record for Ba4Ti4O9. The powder XRD pattern is simulated, not measured: it uses a cell relaxed with PBE and a wavelength of 1.5418 Å.
Peak positions follow from Bragg's law for the DFT cell and can differ from measured ones.

Cell and atoms:
Cell lengths 11.515, 8.019, 17.303 Å; angles 90.00, 91.62, 90.00 degrees
Space group C2/m (No. 12)
Unique sites:
Ba 0.126 0.247 0.251 [8 per cell]
Ba 0.126 0.248 0.918 [8 per cell]
Ba 0.126 0.252 0.584 [8 per cell]
Ti 0.116 0.000 0.422 [4 per cell]
Ti 0.116 0.500 0.088 [4 per cell]
Ti 0.116 0.500 0.755 [4 per cell]
Ti 0.125 0.500 0.418 [4 per cell]
Ti 0.126 0.000 0.083 [4 per cell]
Ti 0.126 0.000 0.750 [4 per cell]
O 0.000 0.000 0.000 [2 per cell]
O 0.000 0.000 0.500 [2 per cell]
O 0.000 0.500 0.000 [2 per cell]
O 0.001 0.500 0.167 [4 per cell]
O 0.002 0.000 0.331 [4 per cell]
O 0.002 0.500 0.664 [4 per cell]
O 0.128 0.248 0.082 [8 per cell]
O 0.128 0.250 0.748 [8 per cell]
O 0.128 0.252 0.415 [8 per cell]
O 0.246 0.000 0.834 [4 per cell]
O 0.247 0.000 0.168 [4 per cell]
O 0.247 0.500 0.501 [4 per cell]

Principal peaks in the range 2θ = 10–80°, by intensity:
2θ 31.07, 2.879 Å, rel. 100, hkl 0 0 6; 2θ 31.53, 2.838 Å, rel. 35, hkl 2 2 3; 2θ 55.83, 1.647 Å, rel. 27, hkl 2 2 9; 2θ 38.48, 2.339 Å, rel. 27, hkl 4 2 0; 2θ 45.19, 2.007 Å, rel. 26, hkl 4 0 6; 2θ 22.15, 4.013 Å, rel. 23, hkl 2 0 3

***

[4]
Diffraction record for Ba3TiO5. The powder XRD pattern is simulated, not measured: it uses a cell relaxed with PBE and a wavelength of 1.5418 Å.
Peak positions follow from Bragg's law for the DFT cell and can differ from measured ones.

Cell and atoms:
Cell lengths 7.417, 7.417, 12.005 Å; angles 90.00, 90.00, 90.00 degrees
Space group I4/mcm (No. 140)
Unique sites:
Ba 0.000 0.000 0.250 [4 per cell]
Ba 0.181 0.319 0.000 [8 per cell]
Ti 0.000 0.500 0.250 [4 per cell]
O 0.000 0.000 0.000 [4 per cell]
O 0.138 0.362 0.343 [16 per cell]

Principal peaks in the range 2θ = 10–80°, by intensity:
2θ 28.29, 3.155 Å, rel. 100, hkl 2 0 2; 2θ 35.14, 2.554 Å, rel. 55, hkl 2 1 3; 2θ 27.90, 3.197 Å, rel. 44, hkl 2 1 1; 2θ 29.77, 3.001 Å, rel. 34, hkl 0 0 4; 2θ 34.19, 2.622 Å, rel. 27, hkl 2 2 0; 2θ 38.38, 2.346 Å, rel. 24, hkl 3 1 0

***

[5]
Diffraction record for Ba2Ti3O7. The powder XRD pattern is simulated, not measured: it uses a cell relaxed with PBE and a wavelength of 1.5418 Å.
Peak positions follow from Bragg's law for the DFT cell and can differ from measured ones.

Cell and atoms:
Cell lengths 3.954, 4.013, 12.064 Å; angles 89.83, 89.64, 89.96 degrees
Space group P1 (No. 1)
Unique sites:
Ba 0.000 0.000 0.000 [1 per cell]
Ba 0.005 0.003 0.643 [1 per cell]
Ti 0.501 0.500 0.822 [1 per cell]
Ti 0.507 0.516 0.149 [1 per cell]
Ti 0.518 0.521 0.494 [1 per cell]
O 0.486 0.970 0.160 [1 per cell]
O 0.497 0.976 0.483 [1 per cell]
O 0.498 0.496 0.988 [1 per cell]
O 0.500 0.000 0.822 [1 per cell]
O 0.503 0.499 0.656 [1 per cell]
O 0.982 0.479 0.159 [1 per cell]
O 0.993 0.484 0.484 [1 per cell]

Principal peaks in the range 2θ = 10–80°, by intensity:
2θ 31.80, 2.814 Å, rel. 100, hkl 1 0 -3; 2θ 14.69, 6.032 Å, rel. 67, hkl 0 0 2; 2θ 31.50, 2.841 Å, rel. 62, hkl 0 1 3; 2θ 45.14, 2.008 Å, rel. 45, hkl 0 2 0; 2θ 31.63, 2.828 Å, rel. 37, hkl 1 0 3; 2θ 45.90, 1.977 Å, rel. 25, hkl 2 0 0

***

[6]
Diffraction record for Ba2Ti3Tl2O10. The powder XRD pattern is simulated, not measured: it uses a cell relaxed with PBE and a wavelength of 1.5418 Å.
Peak positions follow from Bragg's law for the DFT cell and can differ from measured ones.

Cell and atoms:
Cell lengths 3.994, 3.997, 16.459 Å; angles 91.02, 90.18, 90.00 degrees
Space group P1 (No. 1)
Unique sites:
Ba 0.000 0.000 0.000 [1 per cell]
Ba 0.474 0.484 0.523 [1 per cell]
Ti 0.427 0.024 0.258 [1 per cell]
Ti 0.524 0.509 0.121 [1 per cell]
Ti 0.970 0.953 0.397 [1 per cell]
Tl 0.539 0.492 0.848 [1 per cell]
Tl 0.988 0.984 0.701 [1 per cell]
O 0.344 0.485 0.729 [1 per cell]
O 0.473 0.004 0.376 [1 per cell]
O 0.475 0.500 0.986 [1 per cell]
O 0.476 0.008 0.131 [1 per cell]
O 0.477 0.513 0.236 [1 per cell]
O 0.822 0.992 0.847 [1 per cell]
O 0.969 0.507 0.107 [1 per cell]
O 0.969 0.509 0.403 [1 per cell]
O 0.982 0.015 0.510 [1 per cell]
O 0.983 0.015 0.271 [1 per cell]

Principal peaks in the range 2θ = 10–80°, by intensity:
2θ 27.63, 3.228 Å, rel. 100, hkl 1 0 3; 2θ 31.67, 2.825 Å, rel. 83, hkl 1 -1 0; 2θ 27.85, 3.203 Å, rel. 49, hkl 0 1 3; 2θ 45.40, 1.998 Å, rel. 47, hkl 0 2 0; 2θ 27.38, 3.258 Å, rel. 42, hkl 0 1 -3; 2θ 31.19, 2.867 Å, rel. 33, hkl 1 0 -4

***

[7]
Diffraction record for Ba2Ti2TlO7. The powder XRD pattern is simulated, not measured: it uses a cell relaxed with PBE and a wavelength of 1.5418 Å.
Peak positions follow from Bragg's law for the DFT cell and can differ from measured ones.

Cell and atoms:
Cell lengths 3.806, 3.806, 13.358 Å; angles 90.00, 90.00, 90.00 degrees
Space group P4/mmm (No. 123)
Unique sites:
Ba 0.000 0.000 0.201 [2 per cell]
Ti 0.500 0.500 0.379 [2 per cell]
Tl 0.500 0.500 0.000 [1 per cell]
O 0.000 0.000 0.000 [1 per cell]
O 0.000 0.500 0.360 [4 per cell]
O 0.500 0.500 0.160 [2 per cell]

Principal peaks in the range 2θ = 10–80°, by intensity:
2θ 26.96, 3.307 Å, rel. 100, hkl 1 0 2; 2θ 30.91, 2.893 Å, rel. 83, hkl 1 0 3; 2θ 33.29, 2.691 Å, rel. 57, hkl 1 1 0; 2θ 47.98, 1.896 Å, rel. 41, hkl 1 1 5; 2θ 33.54, 2.672 Å, rel. 33, hkl 0 0 5; 2θ 47.80, 1.903 Å, rel. 30, hkl 2 0 0

***

[8]
Diffraction record for Ba2YTi2TlO7. The powder XRD pattern is simulated, not measured: it uses a cell relaxed with PBE and a wavelength of 1.5418 Å.
Peak positions follow from Bragg's law for the DFT cell and can differ from measured ones.

Cell and atoms:
Cell lengths 3.954, 3.954, 13.215 Å; angles 90.00, 90.00, 90.00 degrees
Space group P4/mmm (No. 123)
Unique sites:
Ba 0.000 0.000 0.194 [2 per cell]
Y 0.000 0.000 0.500 [1 per cell]
Ti 0.500 0.500 0.367 [2 per cell]
Tl 0.500 0.500 0.000 [1 per cell]
O 0.000 0.000 0.000 [1 per cell]
O 0.000 0.500 0.389 [4 per cell]
O 0.500 0.500 0.223 [2 per cell]

Principal peaks in the range 2θ = 10–80°, by intensity:
2θ 30.38, 2.943 Å, rel. 100, hkl 1 0 3; 2θ 32.01, 2.796 Å, rel. 55, hkl 1 1 0; 2θ 56.04, 1.641 Å, rel. 35, hkl 2 1 3; 2θ 45.90, 1.977 Å, rel. 28, hkl 2 0 0; 2θ 26.27, 3.393 Å, rel. 28, hkl 1 0 2; 2θ 33.92, 2.643 Å, rel. 16, hkl 0 0 5